1.
The following is a calculated powder X-ray diffraction pattern of Ce2Zn2InPd5. It was derived from a PBE-relaxed structure, using a wavelength of 1.5418 Å.
Peak positions follow from Bragg's law for the DFT cell and can differ from measured ones.

Cell and atoms:
Cell: 9.948 9.948 3.810 Å, 90.00 90.00 90.00°
Space group P4/mbm (No. 127)
Asymmetric unit:
Ce1 0.178 0.322 0.000 [4 per cell]
Zn1 0.119 0.619 0.000 [4 per cell]
In1 0.000 0.000 0.000 [2 per cell]
Pd1 0.000 0.500 0.500 [2 per cell]
Pd2 0.066 0.791 0.500 [8 per cell]

Peak list (8 most intense, 2θ from 5° to 70°, in order of rising 2θ)
2θ/deg	intensity	index
30.90	26	2 1 1
34.71	29	2 2 1
37.06	100	3 1 1
37.27	51	4 1 0
40.36	39	3 2 1
40.55	17	4 2 0
47.74	25	0 0 2
62.07	23	4 1 2


2.
The following is a calculated powder X-ray diffraction pattern of Na6Au7. It was derived from a PBE-relaxed structure, using a wavelength of 1.5418 Å.
Peak positions follow from Bragg's law for the DFT cell and can differ from measured ones.

Cell and atoms:
Cell: 5.6217 5.6217 30.9512 Å, 90.00 90.00 120.00°
Space group R-3m (No. 166, hexagonal axes)
Asymmetric unit:
Na1 0.0000 0.0000 0.0527 [6 per cell]
Na2 0.0000 0.0000 0.1537 [6 per cell]
Na3 0.0000 0.0000 0.3330 [6 per cell]
Au1 0.0000 0.0000 0.5000 [3 per cell]
Au2 0.0013 0.5006 0.9111 [18 per cell]

Peak list (8 most intense, 2θ from 5° to 70°, in order of rising 2θ)
2θ/deg	intensity	index
8.57	47	0 0 3
17.19	100	0 0 6
18.45	74	1 0 1
34.78	41	0 0 12
36.40	54	1 1 6
37.04	44	0 2 1
39.79	87	2 0 5
42.39	46	0 2 7